The following is a theoretical powder diffractogram of K2AcCrF6. It was derived from a cell relaxed with PBE+U, using copper Kα.
Kinematic intensities with the Lorentz-polarization factor, no thermal factor.

Crystal structure
a = 6.145 Å, b = 9.613 Å, c = 6.962 Å
α = 90.00°, β = 90.00°, γ = 90.00°
Sites, in units of the cell vectors:
K 0.250 0.048 0.178
K 0.250 0.452 0.178
K 0.750 0.548 0.822
K 0.750 0.952 0.822
Ac 0.250 0.250 0.698
Ac 0.750 0.750 0.302
Cr 0.250 0.750 0.792
Cr 0.750 0.250 0.208
F 0.002 0.750 0.025
F 0.018 0.250 0.416
F 0.250 0.010 0.793
F 0.250 0.490 0.793
F 0.482 0.250 0.416
F 0.498 0.750 0.025
F 0.502 0.250 0.975
F 0.518 0.750 0.584
F 0.750 0.510 0.207
F 0.750 0.990 0.207
F 0.982 0.750 0.584
F 0.998 0.250 0.975

Most intense lines, 2θ = 15–90°, low angle first:
| Position (°2θ) | d/Å | intensity | hkl |
| --- | --- | --- | --- |
| 17.1 | 5.178 | 69 | 1 1 0 |
| 18.5 | 4.806 | 47 | 0 2 0 |
| 19.3 | 4.607 | 69 | 1 0 1 |
| 26.8 | 3.326 | 100 | 1 2 1 |
| 39.1 | 2.304 | 30 | 2 0 2 |
| 42.8 | 2.115 | 32 | 2 3 1 |